(1)
# K2PH6
Theoretical powder X-ray diffraction pattern, Cu Kα (λ = 1.5418 Å). Input: a DFT-relaxed cell (PBE, Alexandria).
Lines closer than 0.1° are merged.

Main lines, most intense first (10° ≤ 2θ ≤ 90°):
| two_theta | I (rel.) |
| --- | --- |
| 26.56 | 100.0 |
| 32.38 | 58.3 |
| 42.35 | 28.2 |
| 54.30 | 21.0 |
| 42.83 | 19.6 |
| 65.01 | 11.1 |
| 54.69 | 9.8 |
| 57.75 | 9.2 |
| 74.17 | 8.2 |
| 18.86 | 6.5 |

Structure:
Cell: 5.531 5.531 4.705 Å, 90.00 90.00 120.00°
Fractional positions:
K 0.333 0.667 0.259
K 0.667 0.333 0.741
P 0.000 0.000 0.000
H 0.134 0.267 0.810
H 0.134 0.866 0.810
H 0.267 0.134 0.190
H 0.733 0.866 0.810
H 0.866 0.134 0.190
H 0.866 0.733 0.190

---

(2)
# KP2HS6
Theoretical powder X-ray diffraction pattern, Cu Kα (λ = 1.5418 Å). Input: a DFT-relaxed cell (PBE, Alexandria).
Lines closer than 0.1° are merged.

Main lines, most intense first (10° ≤ 2θ ≤ 90°):
| two_theta | I (rel.) |
| --- | --- |
| 11.02 | 100.0 |
| 22.29 | 35.6 |
| 16.47 | 34.7 |
| 28.15 | 30.7 |
| 27.08 | 26.7 |
| 31.33 | 26.0 |
| 46.08 | 14.8 |
| 34.87 | 13.9 |
| 28.73 | 13.8 |
| 33.33 | 12.2 |

Structure:
Cell: 10.510 10.510 5.711 Å, 105.49 105.49 99.59°
Fractional positions:
K 0.107 0.893 0.750
K 0.893 0.107 0.250
P 0.224 0.354 0.067
P 0.354 0.224 0.567
P 0.646 0.776 0.433
P 0.776 0.646 0.933
H 0.352 0.648 0.250
H 0.648 0.352 0.750
S 0.052 0.209 0.881
S 0.204 0.540 0.054
S 0.209 0.052 0.381
S 0.303 0.399 0.474
S 0.399 0.303 0.974
S 0.460 0.796 0.446
S 0.540 0.204 0.554
S 0.601 0.697 0.026
S 0.697 0.601 0.526
S 0.791 0.948 0.619
S 0.796 0.460 0.946
S 0.948 0.791 0.119

---

(3)
# KZn2PH2
Theoretical powder X-ray diffraction pattern, Cu Kα (λ = 1.5418 Å). Input: a DFT-relaxed cell (PBE, Alexandria).
Lines closer than 0.1° are merged.

Main lines, most intense first (10° ≤ 2θ ≤ 90°):
| two_theta | I (rel.) |
| --- | --- |
| 14.48 | 100.0 |
| 13.79 | 82.3 |
| 38.84 | 56.3 |
| 13.62 | 52.5 |
| 24.92 | 49.2 |
| 27.44 | 40.7 |
| 36.27 | 34.5 |
| 38.54 | 31.5 |
| 53.86 | 24.4 |
| 43.24 | 23.2 |

Structure:
Cell: 7.159 5.010 7.249 Å, 90.00 116.25 90.00°
Fractional positions:
K 0.180 0.250 0.275
K 0.820 0.750 0.725
Zn 0.359 0.000 0.801
Zn 0.359 0.500 0.801
Zn 0.641 0.000 0.199
Zn 0.641 0.500 0.199
P 0.311 0.750 0.067
P 0.689 0.250 0.933
H 0.171 0.250 0.674
H 0.345 0.750 0.622
H 0.655 0.250 0.378
H 0.829 0.750 0.326

---

(4)
# KH6PtPb
Theoretical powder X-ray diffraction pattern, Cu Kα (λ = 1.5418 Å). Input: a DFT-relaxed cell (PBE, Alexandria).
Lines closer than 0.1° are merged.

Main lines, most intense first (10° ≤ 2θ ≤ 90°):
| two_theta | I (rel.) |
| --- | --- |
| 26.26 | 100.0 |
| 19.07 | 77.0 |
| 31.21 | 70.5 |
| 36.83 | 61.0 |
| 17.90 | 52.2 |
| 50.53 | 46.9 |
| 31.36 | 34.8 |
| 36.96 | 30.2 |
| 68.83 | 20.9 |
| 41.32 | 19.8 |

Structure:
Cell: 5.732 5.732 4.655 Å, 90.01 90.01 120.30°
Fractional positions:
K 0.000 0.000 0.000
H 0.102 0.438 0.281
H 0.104 0.664 0.720
H 0.336 0.896 0.280
H 0.337 0.441 0.720
H 0.559 0.663 0.280
H 0.562 0.898 0.719
Pt 0.333 0.667 0.500
Pb 0.667 0.333 0.500

---

(5)
# K2H6RhPb
Theoretical powder X-ray diffraction pattern, Cu Kα (λ = 1.5418 Å). Input: a DFT-relaxed cell (PBE, Alexandria).
Lines closer than 0.1° are merged.

Main lines, most intense first (10° ≤ 2θ ≤ 90°):
| two_theta | I (rel.) |
| --- | --- |
| 18.00 | 100.0 |
| 33.70 | 63.7 |
| 31.44 | 53.5 |
| 57.43 | 27.8 |
| 22.89 | 26.6 |
| 46.75 | 26.0 |
| 42.77 | 24.3 |
| 36.46 | 16.8 |
| 48.90 | 15.2 |
| 75.84 | 12.4 |

Structure:
Cell: 5.691 5.691 6.318 Å, 90.00 90.00 120.00°
Fractional positions:
K 0.333 0.667 0.155
K 0.667 0.333 0.845
H 0.137 0.274 0.839
H 0.137 0.863 0.839
H 0.274 0.137 0.161
H 0.726 0.863 0.839
H 0.863 0.137 0.161
H 0.863 0.726 0.161
Rh 0.000 0.000 0.000
Pb 0.000 0.000 0.500

---

(6)
# K2H6RuPb
Theoretical powder X-ray diffraction pattern, Cu Kα (λ = 1.5418 Å). Input: a DFT-relaxed cell (PBE, Alexandria).
Lines closer than 0.1° are merged.

Main lines, most intense first (10° ≤ 2θ ≤ 90°):
| two_theta | I (rel.) |
| --- | --- |
| 17.37 | 100.0 |
| 30.32 | 54.6 |
| 34.71 | 51.4 |
| 22.88 | 26.6 |
| 43.04 | 25.5 |
| 56.74 | 25.4 |
| 46.74 | 22.9 |
| 35.15 | 17.1 |
| 47.08 | 15.7 |
| 74.04 | 11.6 |

Structure:
Cell: 5.896 5.896 5.992 Å, 90.00 90.00 120.00°
Fractional positions:
K 0.333 0.667 0.367
K 0.667 0.333 0.633
H 0.141 0.282 0.664
H 0.141 0.859 0.664
H 0.282 0.141 0.336
H 0.718 0.859 0.664
H 0.859 0.141 0.336
H 0.859 0.718 0.336
Ru 0.000 0.000 0.500
Pb 0.000 0.000 0.000

---

(7)
# K3H4Pd2
Theoretical powder X-ray diffraction pattern, Cu Kα (λ = 1.5418 Å). Input: a DFT-relaxed cell (PBE, Alexandria).
Lines closer than 0.1° are merged.

Main lines, most intense first (10° ≤ 2θ ≤ 90°):
| two_theta | I (rel.) |
| --- | --- |
| 34.14 | 100.0 |
| 16.92 | 99.8 |
| 31.24 | 91.8 |
| 36.25 | 68.3 |
| 30.36 | 62.6 |
| 27.47 | 46.5 |
| 31.82 | 41.3 |
| 13.64 | 31.6 |
| 20.88 | 30.2 |
| 38.04 | 28.6 |

Structure:
Cell: 7.867 7.867 6.047 Å, 101.87 101.87 111.23°
Fractional positions:
K 0.075 0.925 0.750
K 0.257 0.513 0.434
K 0.487 0.743 0.066
K 0.513 0.257 0.934
K 0.743 0.487 0.566
K 0.925 0.075 0.250
H 0.122 0.609 0.978
H 0.171 0.293 0.713
H 0.293 0.171 0.213
H 0.391 0.878 0.522
H 0.609 0.122 0.478
H 0.707 0.829 0.787
H 0.829 0.707 0.287
H 0.878 0.391 0.022
Pd 0.021 0.347 0.852
Pd 0.347 0.021 0.352
Pd 0.653 0.979 0.648
Pd 0.979 0.653 0.148

---

(8)
# KH2Pd3
Theoretical powder X-ray diffraction pattern, Cu Kα (λ = 1.5418 Å). Input: a DFT-relaxed cell (PBE, Alexandria).
Lines closer than 0.1° are merged.

Main lines, most intense first (10° ≤ 2θ ≤ 90°):
| two_theta | I (rel.) |
| --- | --- |
| 11.05 | 100.0 |
| 38.88 | 48.8 |
| 33.57 | 33.6 |
| 39.23 | 31.1 |
| 35.49 | 24.5 |
| 45.64 | 21.0 |
| 39.42 | 20.3 |
| 43.55 | 11.4 |
| 63.32 | 11.2 |
| 37.47 | 9.4 |

Structure:
Cell: 7.358 7.358 8.314 Å, 105.22 105.22 23.70°
Fractional positions:
K 0.127 0.127 0.016
K 0.873 0.873 0.984
H 0.203 0.203 0.739
H 0.479 0.479 0.265
H 0.521 0.521 0.735
H 0.797 0.797 0.261
Pd 0.039 0.039 0.356
Pd 0.298 0.298 0.639
Pd 0.367 0.367 0.345
Pd 0.633 0.633 0.655
Pd 0.702 0.702 0.361
Pd 0.961 0.961 0.644

---

(9)
# K4H5Pd
Theoretical powder X-ray diffraction pattern, Cu Kα (λ = 1.5418 Å). Input: a DFT-relaxed cell (PBE, Alexandria).
Lines closer than 0.1° are merged.

Main lines, most intense first (10° ≤ 2θ ≤ 90°):
| two_theta | I (rel.) |
| --- | --- |
| 28.71 | 100.0 |
| 34.31 | 28.7 |
| 15.16 | 27.2 |
| 46.97 | 21.6 |
| 58.06 | 21.5 |
| 31.09 | 21.0 |
| 18.79 | 15.9 |
| 53.86 | 15.4 |
| 59.45 | 11.8 |
| 49.31 | 11.1 |

Structure:
Cell: 6.514 6.514 6.514 Å, 101.25 101.25 127.59°
Fractional positions:
K 0.117 0.724 0.842
K 0.276 0.117 0.393
K 0.724 0.883 0.607
K 0.883 0.276 0.158
H 0.162 0.162 0.000
H 0.318 0.470 0.747
H 0.470 0.723 0.152
H 0.571 0.318 0.848
H 0.723 0.571 0.253
Pd 0.481 0.481 0.000

---

(10)
# KHPd2
Theoretical powder X-ray diffraction pattern, Cu Kα (λ = 1.5418 Å). Input: a DFT-relaxed cell (PBE, Alexandria).
Lines closer than 0.1° are merged.

Main lines, most intense first (10° ≤ 2θ ≤ 90°):
| two_theta | I (rel.) |
| --- | --- |
| 36.00 | 100.0 |
| 37.66 | 74.7 |
| 18.58 | 62.2 |
| 63.62 | 32.2 |
| 76.40 | 18.1 |
| 43.80 | 16.1 |
| 57.87 | 16.1 |
| 57.96 | 16.0 |
| 47.93 | 15.9 |
| 75.33 | 10.7 |

Structure:
Cell: 5.846 5.846 8.286 Å, 90.00 90.00 90.00°
Fractional positions:
K 0.000 0.250 0.375
K 0.000 0.750 0.625
K 0.500 0.250 0.125
K 0.500 0.750 0.875
H 0.000 0.250 0.875
H 0.000 0.750 0.125
H 0.500 0.250 0.625
H 0.500 0.750 0.375
Pd 0.000 0.000 0.000
Pd 0.000 0.500 0.000
Pd 0.250 0.250 0.750
Pd 0.250 0.750 0.250
Pd 0.500 0.000 0.500
Pd 0.500 0.500 0.500
Pd 0.750 0.250 0.750
Pd 0.750 0.750 0.250

---

(11)
# K3H4Pd
Theoretical powder X-ray diffraction pattern, Cu Kα (λ = 1.5418 Å). Input: a DFT-relaxed cell (PBE, Alexandria).
Lines closer than 0.1° are merged.

Main lines, most intense first (10° ≤ 2θ ≤ 90°):
| two_theta | I (rel.) |
| --- | --- |
| 29.60 | 100.0 |
| 32.13 | 22.8 |
| 17.63 | 20.2 |
| 29.25 | 19.5 |
| 18.81 | 16.9 |
| 55.72 | 14.0 |
| 44.00 | 11.7 |
| 40.67 | 11.7 |
| 33.47 | 10.6 |
| 67.25 | 10.4 |

Structure:
Cell: 8.874 6.106 5.572 Å, 90.00 90.00 90.00°
Fractional positions:
K 0.000 0.159 0.000
K 0.249 0.704 0.992
K 0.251 0.296 0.492
K 0.500 0.841 0.500
K 0.749 0.296 0.492
K 0.751 0.704 0.992
H 0.000 0.051 0.520
H 0.000 0.534 0.319
H 0.191 0.766 0.494
H 0.309 0.234 0.994
H 0.500 0.466 0.819
H 0.500 0.949 0.020
H 0.691 0.234 0.994
H 0.809 0.766 0.494
Pd 0.000 0.778 0.466
Pd 0.500 0.222 0.966

---

(12)
# K8H8Pd3
Theoretical powder X-ray diffraction pattern, Cu Kα (λ = 1.5418 Å). Input: a DFT-relaxed cell (PBE, Alexandria).
Lines closer than 0.1° are merged.

Main lines, most intense first (10° ≤ 2θ ≤ 90°):
| two_theta | I (rel.) |
| --- | --- |
| 30.32 | 100.0 |
| 31.86 | 84.2 |
| 32.88 | 67.7 |
| 19.73 | 64.6 |
| 17.11 | 56.1 |
| 18.42 | 48.7 |
| 27.94 | 42.9 |
| 27.78 | 42.9 |
| 37.59 | 37.4 |
| 33.71 | 36.5 |

Structure:
Cell: 10.493 10.493 8.009 Å, 108.25 108.25 30.09°
Fractional positions:
K 0.027 0.027 0.273
K 0.207 0.207 0.793
K 0.332 0.332 0.550
K 0.390 0.390 0.062
K 0.610 0.610 0.938
K 0.668 0.668 0.450
K 0.793 0.793 0.207
K 0.973 0.973 0.727
H 0.106 0.106 0.004
H 0.176 0.176 0.407
H 0.267 0.267 0.179
H 0.481 0.481 0.691
H 0.519 0.519 0.309
H 0.733 0.733 0.821
H 0.824 0.824 0.593
H 0.894 0.894 0.996
Pd 0.181 0.181 0.190
Pd 0.500 0.500 0.500
Pd 0.819 0.819 0.810